Starting from a cell relaxed with PBE+U, the PXRD pattern of KCeV2O8 was computed for CuKα.
Kinematic intensities with the Lorentz-polarization factor, no thermal factor.

Largest 8 diffraction maxima, in order of rising 2θ, 10 to 90 degrees two-theta:
| 2theta | d [Å] | I/Imax |
| --- | --- | --- |
| 11.5 | 7.705 | 21 |
| 17.3 | 5.114 | 40 |
| 20.8 | 4.261 | 100 |
| 29.0 | 3.077 | 60 |
| 30.3 | 2.952 | 51 |
| 42.4 | 2.130 | 33 |
| 48.6 | 1.875 | 19 |
| 53.0 | 1.728 | 21 |

Atomic structure:
```
data_KCeV2O8
_cell_length_a 5.9050
_cell_length_b 5.9050
_cell_length_c 7.7051
_cell_angle_alpha 90.00
_cell_angle_beta 90.00
_cell_angle_gamma 120.00
_symmetry_space_group_name_H-M 'P -3 m 1'
_symmetry_Int_Tables_number 164
_symmetry_space_group_name_Hall '-P 3 2"'
loop_
_atom_site_label
_atom_site_fract_x
_atom_site_fract_y
_atom_site_fract_z
_atom_site_occupancy
K1 0.0000 0.0000 0.0000 1
Ce1 0.0000 0.0000 0.5000 1
V1 0.3333 0.6667 0.7561 1
O1 0.1704 0.3408 0.6824 1
O2 0.3333 0.6667 0.9746 1
```